For Na2Tl3Hg9, a structure optimized by DFT (GGA-PBE) gives the calculated powder XRD pattern in this record (CuKα).
Intensities are scaled so that the largest is 100.

The 10 most intense peaks (10 to 80 degrees two-theta), by intensity:
2θ/deg	I/Imax
30.4	100.0
34.9	74.7
29.7	63.4
30.7	56.0
38.7	48.4
25.2	45.8
46.5	38.3
35.4	35.2
33.1	34.3
31.3	33.8

Lattice parameters (Å, degrees): 9.3738 9.3738 9.3738 148.13 111.18 77.85
Element x y z (fractional)
Na  0.1909  0.0000  0.1909
Na  0.8091  0.0000  0.8091
Tl  0.1993  0.1993  0.0000
Tl  0.5000  0.5000  0.0000
Tl  0.8007  0.8007  0.0000
Hg  0.0000  0.5000  0.5000
Hg  0.1096  0.3754  0.7342
Hg  0.1860  0.8237  0.3623
Hg  0.3588  0.6246  0.7342
Hg  0.4614  0.8237  0.6377
Hg  0.5386  0.1763  0.3623
Hg  0.6412  0.3754  0.2658
Hg  0.8140  0.1763  0.6377
Hg  0.8904  0.6246  0.2658

***

For NaTm3Hg4, a structure optimized by DFT (GGA-PBE) gives the calculated powder XRD pattern in this record (CuKα).
Intensities are scaled so that the largest is 100.

The 10 most intense peaks (10 to 80 degrees two-theta), by intensity:
2θ/deg	I/Imax
34.7	100.0
62.1	25.1
62.3	12.5
49.8	12.1
73.3	7.8
50.0	6.0
73.1	3.9
24.3	3.3
21.0	2.7
12.1	2.3

Lattice parameters (Å, degrees): 5.1786 5.1786 7.2920 90.00 90.00 90.00
Element x y z (fractional)
Na  0.0000  0.0000  0.0000
Tm  0.0000  0.0000  0.5000
Tm  0.5000  0.5000  0.0000
Tm  0.5000  0.5000  0.5000
Hg  0.0000  0.5000  0.2499
Hg  0.0000  0.5000  0.7501
Hg  0.5000  0.0000  0.2499
Hg  0.5000  0.0000  0.7501

***

For NaTm2Hg6, a structure optimized by DFT (GGA-PBE) gives the calculated powder XRD pattern in this record (CuKα).
Intensities are scaled so that the largest is 100.

The 10 most intense peaks (10 to 80 degrees two-theta), by intensity:
2θ/deg	I/Imax
34.5	100.0
31.1	99.1
43.9	60.8
13.6	60.5
37.0	54.5
36.6	46.2
39.2	45.2
23.2	43.6
27.4	42.0
69.9	38.2

Lattice parameters (Å, degrees): 7.3910 7.3910 4.9892 99.01 99.01 62.43
Element x y z (fractional)
Na  0.0000  0.0000  0.0000
Tm  0.2716  0.2716  0.4074
Tm  0.7284  0.7284  0.5926
Hg  0.1616  0.5509  0.9362
Hg  0.2859  0.7141  0.5000
Hg  0.4491  0.8384  0.0638
Hg  0.5509  0.1616  0.9362
Hg  0.7141  0.2859  0.5000
Hg  0.8384  0.4491  0.0638

***

For NaYHg, a structure optimized by DFT (GGA-PBE) gives the calculated powder XRD pattern in this record (CuKα).
Intensities are scaled so that the largest is 100.

The 10 most intense peaks (10 to 80 degrees two-theta), by intensity:
2θ/deg	I/Imax
13.0	100.0
33.6	75.7
26.3	50.8
34.8	50.1
37.3	33.2
38.6	27.7
61.6	26.1
29.4	19.8
65.6	19.6
50.0	17.9

Lattice parameters (Å, degrees): 3.6491 3.6491 27.2882 90.00 90.00 90.00
Element x y z (fractional)
Na  0.0000  0.0000  0.2000
Na  0.0000  0.0000  0.8000
Na  0.5000  0.5000  0.3000
Na  0.5000  0.5000  0.7000
Y  0.0000  0.0000  0.0655
Y  0.0000  0.0000  0.9345
Y  0.5000  0.5000  0.4345
Y  0.5000  0.5000  0.5655
Hg  0.0000  0.0000  0.3727
Hg  0.0000  0.0000  0.6273
Hg  0.5000  0.5000  0.1273
Hg  0.5000  0.5000  0.8727

***

For NaYZnHg, a structure optimized by DFT (GGA-PBE) gives the calculated powder XRD pattern in this record (CuKα).
Intensities are scaled so that the largest is 100.

The 10 most intense peaks (10 to 80 degrees two-theta), by intensity:
2θ/deg	I/Imax
35.3	100.0
63.3	35.7
21.4	32.0
24.7	19.6
41.6	18.0
50.8	17.6
74.6	11.0
57.3	8.5
55.7	7.9
43.6	6.2

Lattice parameters (Å, degrees): 7.1953 7.1953 7.1953 90.00 90.00 90.00
Element x y z (fractional)
Na  0.0000  0.0000  0.0000
Na  0.0000  0.5000  0.5000
Na  0.5000  0.0000  0.5000
Na  0.5000  0.5000  0.0000
Y  0.0000  0.0000  0.5000
Y  0.0000  0.5000  0.0000
Y  0.5000  0.0000  0.0000
Y  0.5000  0.5000  0.5000
Zn  0.2500  0.2500  0.7500
Zn  0.2500  0.7500  0.2500
Zn  0.7500  0.2500  0.2500
Zn  0.7500  0.7500  0.7500
Hg  0.2500  0.2500  0.2500
Hg  0.2500  0.7500  0.7500
Hg  0.7500  0.2500  0.7500
Hg  0.7500  0.7500  0.2500

***

For Na5ZnHg6, a structure optimized by DFT (GGA-PBE) gives the calculated powder XRD pattern in this record (CuKα).
Intensities are scaled so that the largest is 100.

The 10 most intense peaks (10 to 80 degrees two-theta), by intensity:
2θ/deg	I/Imax
34.3	100.0
34.8	93.2
23.8	71.4
24.5	63.4
24.3	59.5
34.0	57.1
35.0	47.6
42.2	35.4
61.6	30.2
43.0	25.6

Lattice parameters (Å, degrees): 8.8623 8.8623 5.2800 105.82 105.82 48.90
Element x y z (fractional)
Na  0.0000  0.0000  0.0000
Na  0.1605  0.1605  0.6658
Na  0.3163  0.3163  0.3060
Na  0.6837  0.6837  0.6940
Na  0.8395  0.8395  0.3342
Zn  0.5000  0.5000  0.0000
Hg  0.1175  0.5712  0.8334
Hg  0.2845  0.7155  0.5000
Hg  0.4288  0.8825  0.1666
Hg  0.5712  0.1175  0.8334
Hg  0.7155  0.2845  0.5000
Hg  0.8825  0.4288  0.1666

***

For Na6ZnHg2, a structure optimized by DFT (GGA-PBE) gives the calculated powder XRD pattern in this record (CuKα).
Intensities are scaled so that the largest is 100.

The 10 most intense peaks (10 to 80 degrees two-theta), by intensity:
2θ/deg	I/Imax
19.2	100.0
33.1	74.8
37.7	56.3
35.1	35.6
24.0	30.3
17.5	30.2
19.8	27.9
49.2	25.5
62.2	20.0
38.6	17.8

Lattice parameters (Å, degrees): 10.6225 10.6225 10.6225 29.49 29.49 29.49
Element x y z (fractional)
Na  0.0770  0.0770  0.0770
Na  0.1968  0.1968  0.1968
Na  0.3088  0.3088  0.3088
Na  0.6912  0.6912  0.6912
Na  0.8032  0.8032  0.8032
Na  0.9230  0.9230  0.9230
Zn  0.5000  0.5000  0.5000
Hg  0.4118  0.4118  0.4118
Hg  0.5882  0.5882  0.5882

***

For NaZn2Hg2, a structure optimized by DFT (GGA-PBE) gives the calculated powder XRD pattern in this record (CuKα).
Intensities are scaled so that the largest is 100.

The 10 most intense peaks (10 to 80 degrees two-theta), by intensity:
2θ/deg	I/Imax
31.5	100.0
17.5	73.5
44.4	56.7
37.1	56.3
41.3	35.8
63.4	27.6
72.0	27.3
26.0	23.0
53.4	19.6
56.7	14.4

Lattice parameters (Å, degrees): 4.8498 4.8498 10.1431 90.00 90.00 90.00
Element x y z (fractional)
Na  0.0000  0.0000  0.0000
Na  0.5000  0.5000  0.5000
Zn  0.0000  0.0000  0.3786
Zn  0.0000  0.0000  0.6214
Zn  0.5000  0.5000  0.1214
Zn  0.5000  0.5000  0.8786
Hg  0.0000  0.5000  0.2500
Hg  0.0000  0.5000  0.7500
Hg  0.5000  0.0000  0.2500
Hg  0.5000  0.0000  0.7500